Diffraction record for Sr3FeCoCl2O4. The PXRD pattern is simulated, not measured: it uses a crystal structure in Alexandria, relaxed with PBE+U and λ = 1.5418 Å (Cu Kα).
Kinematic intensities with the Lorentz-polarization factor, no thermal factor.

The 12 most intense peaks (2θ = 5–70°), most intense first:
Position (°2θ), intensity
35.47, 1000
31.00, 589
58.07, 448
44.41, 373
7.83, 305
39.35, 151
64.61, 112
29.50, 106
15.69, 97
66.38, 81
22.14, 64
57.08, 54

Crystal structure
```
Sr3FeCoCl2O4
1.0
-2.040 2.040 11.295
2.040 -2.040 11.295
2.040 2.040 -11.295
Sr Fe Co Cl O
3 1 1 2 4
Direct
0.000 0.000 0.000
0.147 0.147 0.000
0.300 0.300 0.000
0.724 0.724 0.000
0.570 0.570 0.000
0.452 0.452 0.000
0.855 0.855 0.000
0.073 0.573 0.500
0.227 0.727 0.500
0.573 0.073 0.500
0.727 0.227 0.500
```